(1)
Co5NiN4: calculated X-ray diffraction stick pattern (copper Kα), based on a DFT-relaxed cell (GGA-PBE, the Materials Project).
Peak positions follow from Bragg's law for the DFT cell and can differ from measured ones.

Structural model:
Unit cell a=5.7827 b=7.2422 c=4.4481 alpha=90.00 beta=90.00 gamma=90.00
Space group Pmmn (No. 59, origin choice 2)
Symmetry-distinct sites (fractional):
Co 0.0246 0.0746 0.2420 (multiplicity 8)
Co 0.2500 0.2500 0.7492 (multiplicity 2)
Ni 0.2500 0.7500 0.1733 (multiplicity 2)
N 0.0190 0.7500 0.4788 (multiplicity 4)
N 0.2500 0.0013 0.9452 (multiplicity 4)

The 12 most intense peaks (5° ≤ 2θ ≤ 70°), sorted by position:
2theta, I/Imax
30.93, 11
37.08, 5
39.19, 94
39.90, 42
40.56, 40
42.61, 100
51.68, 6
51.87, 7
53.55, 13
58.21, 41
60.32, 10
64.45, 13

=====

(2)
CoNi2N2: calculated X-ray diffraction stick pattern (copper Kα), based on a DFT-relaxed cell (GGA-PBE, the Materials Project).
Peak positions follow from Bragg's law for the DFT cell and can differ from measured ones.

Structural model:
Unit cell a=2.8567 b=2.8567 c=11.0897 alpha=90.00 beta=90.00 gamma=90.00
Space group I4/mmm (No. 139)
Symmetry-distinct sites (fractional):
Co 0.0000 0.0000 0.0000 (multiplicity 2)
Ni 0.0000 0.0000 0.3461 (multiplicity 4)
N 0.0000 0.0000 0.1611 (multiplicity 4)

The 9 most intense peaks (5° ≤ 2θ ≤ 70°), sorted by position:
2theta, I/Imax
32.29, 5
39.88, 100
44.87, 62
49.30, 20
52.21, 5
56.36, 3
65.33, 18
67.60, 2
68.85, 26

=====

(3)
CoNi5N4: calculated X-ray diffraction stick pattern (copper Kα), based on a DFT-relaxed cell (GGA-PBE, the Materials Project).
Peak positions follow from Bragg's law for the DFT cell and can differ from measured ones.

Structural model:
Unit cell a=5.7586 b=8.9548 c=3.9696 alpha=90.00 beta=90.00 gamma=90.00
Space group Pmmn (No. 59, origin choice 2)
Symmetry-distinct sites (fractional):
Co 0.2500 0.2500 0.2121 (multiplicity 2)
Ni 0.0341 0.5951 0.1980 (multiplicity 8)
Ni 0.2500 0.7500 0.6864 (multiplicity 2)
N 0.0253 0.2500 0.5225 (multiplicity 4)
N 0.2500 0.0531 0.0439 (multiplicity 4)

The 12 most intense peaks (5° ≤ 2θ ≤ 70°), sorted by position:
2theta, I/Imax
22.40, 8
30.09, 12
37.12, 24
37.71, 100
39.97, 87
45.71, 16
51.72, 25
57.05, 11
60.29, 16
62.20, 13
64.76, 9
65.07, 9

=====

(4)
Co2NiN2: calculated X-ray diffraction stick pattern (copper Kα), based on a DFT-relaxed cell (GGA-PBE, the Materials Project).
Peak positions follow from Bragg's law for the DFT cell and can differ from measured ones.

Structural model:
Unit cell a=2.7440 b=2.7440 c=22.8059 alpha=90.00 beta=90.00 gamma=120.00
Space group R-3m (No. 166, hexagonal axes)
Symmetry-distinct sites (fractional):
Co 0.0000 0.0000 0.2147 (multiplicity 6)
Ni 0.0000 0.0000 0.0000 (multiplicity 3)
N 0.0000 0.0000 0.0800 (multiplicity 6)

The 12 most intense peaks (5° ≤ 2θ ≤ 70°), sorted by position:
2theta, I/Imax
11.64, 4
35.42, 72
38.07, 78
38.70, 6
41.15, 82
42.91, 100
47.35, 20
49.97, 2
55.88, 38
60.94, 4
66.22, 14
68.37, 40

=====

(5)
Co2NiN2: calculated X-ray diffraction stick pattern (copper Kα), based on a DFT-relaxed cell (GGA-PBE, the Materials Project).
Peak positions follow from Bragg's law for the DFT cell and can differ from measured ones.

Structural model:
Unit cell a=2.7851 b=2.7851 c=11.7876 alpha=90.00 beta=90.00 gamma=90.00
Space group I4/mmm (No. 139)
Symmetry-distinct sites (fractional):
Co 0.0000 0.0000 0.1813 (multiplicity 4)
Ni 0.0000 0.0000 0.5000 (multiplicity 2)
N 0.0000 0.0000 0.3462 (multiplicity 4)

The 12 most intense peaks (5° ≤ 2θ ≤ 70°), sorted by position:
2theta, I/Imax
15.03, 9
30.33, 1
33.05, 6
39.67, 100
46.09, 57
46.21, 23
48.75, 1
50.74, 2
56.18, 1
63.10, 1
64.69, 8
67.29, 42

=====

(6)
Co4P6SN12: calculated X-ray diffraction stick pattern (copper Kα), based on a DFT-relaxed cell (GGA-PBE, the Materials Project).
Peak positions follow from Bragg's law for the DFT cell and can differ from measured ones.

Structural model:
Unit cell a=7.4002 b=7.4002 c=8.2588 alpha=90.00 beta=90.00 gamma=90.00
Space group I-42m (No. 121)
Symmetry-distinct sites (fractional):
Co 0.1028 0.1028 0.1238 (multiplicity 8)
P 0.0000 0.5000 0.0000 (multiplicity 4)
P 0.2025 0.2025 0.7379 (multiplicity 8)
S 0.0000 0.0000 0.5000 (multiplicity 2)
N 0.1218 0.3603 0.1112 (multiplicity 16)
N 0.1544 0.1544 0.3442 (multiplicity 8)

The 12 most intense peaks (5° ≤ 2θ ≤ 70°), sorted by position:
2theta, I/Imax
16.08, 100
16.94, 61
27.52, 72
29.07, 34
32.49, 94
34.27, 41
34.77, 34
42.72, 81
44.50, 50
45.54, 74
52.15, 48
68.04, 46

=====

What is the formula in the fifth record?
Co2NiN2